Record 1
Structure and theoretical powder diffraction line list of Nd5SmCd6 (DFT lattice parameters and positions (PBE); copper Kα).
No peak broadening, texture or thermal motion is included.

Largest 10 diffraction maxima, low angle first, 15° ≤ 2θ ≤ 90°:
| 2theta | I (rel.) |
| --- | --- |
| 32.9 | 1000 |
| 33.0 | 495 |
| 47.0 | 91 |
| 47.4 | 178 |
| 58.6 | 186 |
| 58.8 | 366 |
| 68.9 | 113 |
| 78.2 | 79 |
| 78.8 | 155 |
| 87.9 | 60 |

Cell and atoms:
abc: 8.587 8.587 7.740
angles: 90.00 90.00 143.16
Positions (direct):
Nd  0.000  0.000  0.000
Nd  0.333  0.667  0.000
Nd  0.333  0.667  0.500
Nd  0.667  0.333  0.000
Nd  0.667  0.333  0.500
Sm  0.000  0.000  0.500
Cd  0.165  0.835  0.252
Cd  0.165  0.835  0.748
Cd  0.500  0.500  0.252
Cd  0.500  0.500  0.748
Cd  0.835  0.165  0.252
Cd  0.835  0.165  0.748



Record 2
Structure and theoretical powder diffraction line list of Nd2Sm5Cd (DFT lattice parameters and positions (PBE); copper Kα).
No peak broadening, texture or thermal motion is included.

Largest 10 diffraction maxima, low angle first, 15° ≤ 2θ ≤ 90°:
| 2theta | I (rel.) |
| --- | --- |
| 30.7 | 1000 |
| 35.4 | 171 |
| 35.7 | 334 |
| 51.1 | 240 |
| 51.3 | 118 |
| 60.6 | 143 |
| 61.0 | 280 |
| 63.9 | 122 |
| 83.3 | 117 |
| 83.7 | 58 |

Cell and atoms:
abc: 7.150 7.150 7.150
angles: 120.28 120.28 89.51
Positions (direct):
Nd  0.000  0.500  0.500
Nd  0.500  0.000  0.500
Sm  0.000  0.000  0.000
Sm  0.000  0.000  0.500
Sm  0.000  0.500  0.000
Sm  0.500  0.000  0.000
Sm  0.500  0.500  0.500
Cd  0.500  0.500  0.000



Record 3
Structure and theoretical powder diffraction line list of Nd3SmCd (DFT lattice parameters and positions (PBE); copper Kα).
No peak broadening, texture or thermal motion is included.

Largest 10 diffraction maxima, low angle first, 15° ≤ 2θ ≤ 90°:
| 2theta | I (rel.) |
| --- | --- |
| 30.0 | 406 |
| 31.0 | 552 |
| 31.7 | 1000 |
| 32.3 | 941 |
| 33.3 | 145 |
| 42.8 | 140 |
| 48.1 | 180 |
| 55.2 | 171 |
| 56.3 | 156 |
| 58.3 | 201 |

Cell and atoms:
abc: 6.863 6.863 13.047
angles: 92.63 92.63 32.02
Positions (direct):
Nd  0.041  0.041  0.190
Nd  0.146  0.146  0.446
Nd  0.366  0.366  0.028
Nd  0.634  0.634  0.972
Nd  0.854  0.854  0.554
Nd  0.959  0.959  0.810
Sm  0.226  0.226  0.750
Sm  0.774  0.774  0.250
Cd  0.442  0.442  0.372
Cd  0.558  0.558  0.628



Record 4
Structure and theoretical powder diffraction line list of NdSm3Cd2 (DFT lattice parameters and positions (PBE); copper Kα).
No peak broadening, texture or thermal motion is included.

Largest 10 diffraction maxima, low angle first, 15° ≤ 2θ ≤ 90°:
| 2theta | I (rel.) |
| --- | --- |
| 27.6 | 74 |
| 31.7 | 1000 |
| 33.9 | 478 |
| 36.8 | 69 |
| 42.0 | 76 |
| 48.7 | 171 |
| 55.1 | 136 |
| 59.3 | 329 |
| 66.2 | 77 |
| 81.4 | 76 |

Cell and atoms:
abc: 3.739 3.739 12.901
angles: 90.00 90.00 90.00
Positions (direct):
Nd  0.000  0.000  0.000
Sm  0.500  0.500  0.196
Sm  0.500  0.500  0.500
Sm  0.500  0.500  0.804
Cd  0.000  0.000  0.348
Cd  0.000  0.000  0.652



Record 5
Structure and theoretical powder diffraction line list of NdSm2Cd2 (DFT lattice parameters and positions (PBE); copper Kα).
No peak broadening, texture or thermal motion is included.

Largest 10 diffraction maxima, low angle first, 15° ≤ 2θ ≤ 90°:
| 2theta | I (rel.) |
| --- | --- |
| 31.9 | 223 |
| 32.6 | 270 |
| 32.8 | 1000 |
| 46.2 | 158 |
| 47.7 | 92 |
| 57.4 | 120 |
| 58.2 | 189 |
| 58.6 | 77 |
| 59.0 | 96 |
| 68.7 | 95 |

Cell and atoms:
abc: 3.810 5.500 14.145
angles: 90.00 97.77 90.00
Positions (direct):
Nd  0.149  0.250  0.296
Nd  0.851  0.750  0.704
Sm  0.046  0.750  0.092
Sm  0.235  0.750  0.472
Sm  0.765  0.250  0.528
Sm  0.954  0.250  0.908
Cd  0.359  0.250  0.718
Cd  0.449  0.750  0.899
Cd  0.551  0.250  0.101
Cd  0.641  0.750  0.282



Record 6
Structure and theoretical powder diffraction line list of Nd12Sm7Cd (DFT lattice parameters and positions (PBE); copper Kα).
No peak broadening, texture or thermal motion is included.

Largest 10 diffraction maxima, low angle first, 15° ≤ 2θ ≤ 90°:
| 2theta | I (rel.) |
| --- | --- |
| 29.8 | 299 |
| 30.1 | 302 |
| 30.2 | 1000 |
| 31.7 | 710 |
| 31.9 | 470 |
| 33.1 | 253 |
| 52.3 | 171 |
| 52.6 | 187 |
| 55.8 | 154 |
| 61.9 | 143 |

Cell and atoms:
abc: 8.910 8.910 8.910
angles: 89.41 89.41 89.41
Positions (direct):
Nd  0.123  0.464  0.339
Nd  0.212  0.764  0.617
Nd  0.236  0.383  0.788
Nd  0.339  0.123  0.464
Nd  0.383  0.788  0.236
Nd  0.464  0.339  0.123
Nd  0.536  0.661  0.877
Nd  0.617  0.212  0.764
Nd  0.661  0.877  0.536
Nd  0.764  0.617  0.212
Nd  0.788  0.236  0.383
Nd  0.877  0.536  0.661
Sm  0.005  0.892  0.330
Sm  0.108  0.670  0.995
Sm  0.330  0.005  0.892
Sm  0.500  0.500  0.500
Sm  0.670  0.995  0.108
Sm  0.892  0.330  0.005
Sm  0.995  0.108  0.670
Cd  0.000  0.000  0.000